Starting from the PBE geometry in Alexandria, the XRD peak list of Li7Dy3Hg4 was computed for Cu Kα, 1.54184 Å.
Lines closer than 0.1° are merged.

Most intense lines, 10° ≤ 2θ ≤ 80°, by angle:
2θ (°)  d_spacing  I/Imax  h k l
13.30  6.657  24  2 0 0
23.71  3.752  42  0 0 2
24.81  3.588  100  3 1 -1
33.32  2.689  34  2 0 2
33.81  2.652  26  1 1 2
34.21  2.621  63  5 1 -1
35.00  2.564  64  3 1 -3
37.27  2.412  35  0 2 0
44.66  2.029  20  0 2 2
50.86  1.795  26  2 2 2

Atomic structure:
Cell lengths 16.0869, 4.8248, 9.0800 Å; angles 90.00, 124.14, 90.00 degrees
Space group C2/m (No. 12)
One atom of each set of equivalent atoms:
1 Li 0.0000 0.0000 0.0000
2 Li 0.0059 0.5000 0.1748
3 Li 0.1425 0.0000 0.9419
4 Li 0.1560 0.5000 0.5086
5 Dy 0.0000 0.0000 0.5000
6 Dy 0.2253 0.5000 0.2267
7 Hg 0.1378 0.0000 0.3412
8 Hg 0.1492 0.5000 0.7956